# Rb2NaBi
Theoretical powder XRD pattern, Cu Kα. Input: a GGA-PBE-relaxed structure.

Peak list (10 most intense, 5 to 70 degrees two-theta, in order of rising 2θ)
2θ 17.7, 5.019 Å, rel. 54, (1 1 1)
2θ 18.4, 4.816 Å, rel. 24, (0 2 0)
2θ 25.9, 3.434 Å, rel. 35, (0 0 2)
2θ 27.5, 3.241 Å, rel. 21, (2 2 1)
2θ 28.4, 3.139 Å, rel. 100, (3 1 1)
2θ 31.8, 2.818 Å, rel. 37, (1 3 1)
2θ 32.0, 2.796 Å, rel. 20, (0 2 2)
2θ 35.8, 2.509 Å, rel. 22, (2 2 2)
2θ 47.3, 1.921 Å, rel. 25, (3 1 3)
2θ 49.6, 1.839 Å, rel. 18, (4 4 0)

Atomic structure:
Cell: 11.3791 9.6320 6.8687 Å, 90.00 90.00 90.00°
Space group Cmcm (No. 63)
Inequivalent atoms, fractional coordinates:
Rb (0.1713, 0.1355, 0.2500) x8
Na (0.0000, 0.5000, 0.0000) x4
Bi (0.0000, 0.2290, 0.7500) x4



# RbNa3Bi
Theoretical powder XRD pattern, Cu Kα. Input: a GGA-PBE-relaxed structure.

Peak list (10 most intense, 5 to 70 degrees two-theta, in order of rising 2θ)
2θ 14.4, 6.148 Å, rel. 56, (1 0 1)
2θ 14.6, 6.066 Å, rel. 17, (0 2 0)
2θ 19.2, 4.621 Å, rel. 37, (2 0 0)
2θ 20.6, 4.318 Å, rel. 100, (1 2 1)
2θ 29.1, 3.074 Å, rel. 21, (2 0 2)
2θ 29.5, 3.033 Å, rel. 21, (0 4 0)
2θ 32.7, 2.742 Å, rel. 40, (2 2 2)
2θ 34.1, 2.631 Å, rel. 19, (1 0 3)
2θ 34.4, 2.606 Å, rel. 28, (3 2 1)
2θ 35.4, 2.536 Å, rel. 20, (2 4 0)

Atomic structure:
Cell: 9.2421 12.1316 8.2331 Å, 90.00 90.00 90.00°
Space group Imma (No. 74)
Inequivalent atoms, fractional coordinates:
Rb (0.0000, 0.2500, 0.1456) x4
Na (0.0000, 0.2500, 0.6102) x4
Na (0.2500, 0.0430, 0.7500) x8
Bi (0.0000, 0.0000, 0.5000) x4